Starting from a cell relaxed with GGA-PBE, the powder X-ray diffraction pattern of Zr3Ni8Au was computed for copper Kα.

Structure:
Unit cell a=4.888 b=4.888 c=8.025 alpha=90.00 beta=90.00 gamma=120.00
Atoms (fractional coordinates):
Zr 0.000 0.000 0.000
Zr 0.000 0.000 0.387
Zr 0.333 0.667 0.835
Ni 0.004 0.502 0.176
Ni 0.333 0.166 0.683
Ni 0.498 0.502 0.176
Ni 0.498 0.996 0.176
Ni 0.667 0.333 0.429
Ni 0.667 0.333 0.935
Ni 0.834 0.166 0.683
Ni 0.834 0.667 0.683
Au 0.333 0.667 0.477

Main lines, in order of rising 2θ (2θ = 10–90°):
2θ/deg	I_rel
36.8	51
39.9	83
43.3	100
44.3	66
68.3	32
70.8	22
74.1	24
78.2	23

---

Starting from a cell relaxed with GGA-PBE, the powder X-ray diffraction pattern of ZrNi2Au was computed for copper Kα.

Structure:
Unit cell a=3.800 b=3.800 c=8.374 alpha=90.00 beta=90.00 gamma=90.00
Atoms (fractional coordinates):
Zr 0.000 0.000 0.000
Zr 0.500 0.500 0.500
Ni 0.000 0.000 0.500
Ni 0.000 0.500 0.750
Ni 0.500 0.000 0.250
Ni 0.500 0.500 0.000
Au 0.000 0.500 0.250
Au 0.500 0.000 0.750

Main lines, in order of rising 2θ (2θ = 10–90°):
2θ/deg	I_rel
25.7	32
39.9	100
43.2	20
47.9	29
66.5	21
77.0	14
83.7	23
86.0	11

---

Starting from a cell relaxed with GGA-PBE, the powder X-ray diffraction pattern of NpAu6 was computed for copper Kα.

Structure:
Unit cell a=9.185 b=5.602 c=11.127 alpha=90.00 beta=90.00 gamma=90.00
Atoms (fractional coordinates):
Np 0.239 0.250 0.066
Np 0.261 0.750 0.566
Np 0.739 0.250 0.434
Np 0.761 0.750 0.934
Au 0.054 0.007 0.305
Au 0.054 0.493 0.305
Au 0.062 0.750 0.076
Au 0.115 0.250 0.521
Au 0.160 0.750 0.842
Au 0.190 0.250 0.775
Au 0.310 0.750 0.275
Au 0.340 0.250 0.342
Au 0.385 0.750 0.021
Au 0.438 0.250 0.576
Au 0.446 0.507 0.805
Au 0.446 0.993 0.805
Au 0.554 0.007 0.195
Au 0.554 0.493 0.195
Au 0.562 0.750 0.424
Au 0.615 0.250 0.979
Au 0.660 0.750 0.658
Au 0.690 0.250 0.725
Au 0.810 0.750 0.225
Au 0.840 0.250 0.158
Au 0.885 0.750 0.479
Au 0.938 0.250 0.924
Au 0.946 0.507 0.695
Au 0.946 0.993 0.695

Main lines, in order of rising 2θ (2θ = 10–90°):
2θ/deg	I_rel
33.7	76
34.4	100
35.0	68
37.6	38
38.5	44
40.1	50
41.2	33
41.6	56

---

Starting from a cell relaxed with GGA-PBE, the powder X-ray diffraction pattern of NpAu11 was computed for copper Kα.

Structure:
Unit cell a=8.838 b=8.838 c=8.838 alpha=100.50 beta=100.50 gamma=129.45
Atoms (fractional coordinates):
Np 0.375 0.625 0.750
Np 0.625 0.375 0.250
Au 0.000 0.000 0.000
Au 0.000 0.000 0.500
Au 0.000 0.500 0.000
Au 0.125 0.875 0.250
Au 0.128 0.553 0.335
Au 0.128 0.793 0.575
Au 0.207 0.283 0.335
Au 0.207 0.872 0.925
Au 0.283 0.207 0.835
Au 0.283 0.447 0.075
Au 0.447 0.283 0.575
Au 0.447 0.872 0.165
Au 0.500 0.000 0.500
Au 0.553 0.128 0.835
Au 0.553 0.717 0.425
Au 0.717 0.553 0.925
Au 0.717 0.793 0.165
Au 0.793 0.128 0.075
Au 0.793 0.717 0.665
Au 0.872 0.207 0.425
Au 0.872 0.447 0.665
Au 0.875 0.125 0.750

Main lines, in order of rising 2θ (2θ = 10–90°):
2θ/deg	I_rel
30.9	34
34.6	100
35.5	72
36.6	36
40.0	36
41.7	97
43.1	39
63.2	37

---

Starting from a cell relaxed with GGA-PBE, the powder X-ray diffraction pattern of NpAu3 was computed for copper Kα.

Structure:
Unit cell a=2.961 b=5.312 c=10.500 alpha=90.00 beta=90.00 gamma=90.00
Atoms (fractional coordinates):
Np 0.000 0.000 0.000
Np 0.500 0.500 0.500
Au 0.000 0.000 0.500
Au 0.000 0.500 0.237
Au 0.000 0.500 0.763
Au 0.500 0.000 0.263
Au 0.500 0.000 0.737
Au 0.500 0.500 0.000

Main lines, in order of rising 2θ (2θ = 10–90°):
2θ/deg	I_rel
33.7	37
34.2	34
38.8	100
48.8	25
63.8	24
64.3	21
83.3	11
84.4	10

---

Starting from a cell relaxed with GGA-PBE, the powder X-ray diffraction pattern of NpAu4 was computed for copper Kα.

Structure:
Unit cell a=8.478 b=4.999 c=5.296 alpha=90.00 beta=112.64 gamma=90.00
Atoms (fractional coordinates):
Np 0.000 0.000 0.000
Np 0.500 0.500 0.000
Au 0.109 0.500 0.774
Au 0.238 0.000 0.642
Au 0.262 0.500 0.358
Au 0.391 0.000 0.226
Au 0.609 0.000 0.774
Au 0.738 0.500 0.642
Au 0.762 0.000 0.358
Au 0.891 0.500 0.226

Main lines, in order of rising 2θ (2θ = 10–90°):
2θ/deg	I_rel
34.4	55
35.9	61
36.9	100
38.6	92
50.6	38
65.2	19
66.3	19
70.2	14